Starting from DFT lattice parameters and positions (PBE), the powder X-ray diffraction pattern of TbZn2SiRu2 was computed for Cu Kα, 1.54184 Å.

Unit cell a=4.439 b=4.439 c=5.569 alpha=90.00 beta=90.00 gamma=90.00
Positions (direct):
1 Tb 0.000 0.000 0.000
2 Zn 0.500 0.500 0.231
3 Zn 0.500 0.500 0.769
4 Si 0.000 0.000 0.500
5 Ru 0.000 0.500 0.500
6 Ru 0.500 0.000 0.500

Top 12 peaks for 2θ from 15° to 90°, sorted by position:
d [Å], Rel. int.
3.471, 18
2.784, 14
2.735, 100
2.359, 56
2.220, 64
1.736, 13
1.616, 34
1.598, 13
1.569, 21
1.361, 23
1.179, 15
1.126, 10

---

Starting from DFT lattice parameters and positions (PBE), the powder X-ray diffraction pattern of Si2TcRu2 was computed for Cu Kα, 1.54184 Å.

Unit cell a=2.883 b=16.025 c=2.951 alpha=90.00 beta=90.00 gamma=90.00
Positions (direct):
1 Si 0.000 0.097 0.000
2 Si 0.000 0.903 0.000
3 Si 0.500 0.403 0.000
4 Si 0.500 0.597 0.000
5 Tc 0.000 0.500 0.500
6 Tc 0.500 0.000 0.500
7 Ru 0.000 0.318 0.500
8 Ru 0.000 0.682 0.500
9 Ru 0.500 0.182 0.500
10 Ru 0.500 0.818 0.500

Top 12 peaks for 2θ from 15° to 90°, sorted by position:
d [Å], Rel. int.
2.951, 72
2.837, 40
2.671, 44
2.143, 100
2.045, 86
1.980, 76
1.734, 45
1.475, 18
1.441, 17
1.215, 31
1.190, 34
1.165, 26

---

Starting from DFT lattice parameters and positions (PBE), the powder X-ray diffraction pattern of Si2TeRu was computed for Cu Kα, 1.54184 Å.

Unit cell a=7.110 b=3.986 c=6.339 alpha=90.00 beta=117.49 gamma=90.00
Positions (direct):
1 Si 0.000 0.000 0.000
2 Si 0.250 0.000 0.791
3 Si 0.500 0.500 0.000
4 Si 0.750 0.500 0.791
5 Te 0.498 0.000 0.358
6 Te 0.998 0.500 0.358
7 Ru 0.197 0.500 0.063
8 Ru 0.697 0.000 0.063

Top 12 peaks for 2θ from 15° to 90°, sorted by position:
d [Å], Rel. int.
5.623, 88
3.533, 25
3.370, 73
2.852, 50
2.620, 100
2.480, 59
2.330, 30
2.030, 56
1.993, 32
1.963, 31
1.874, 18
1.634, 23

---

Starting from DFT lattice parameters and positions (PBE), the powder X-ray diffraction pattern of Th3Si2Ru5 was computed for Cu Kα, 1.54184 Å.

Unit cell a=10.261 b=10.261 c=3.555 alpha=90.00 beta=90.00 gamma=90.00
Positions (direct):
1 Th 0.000 0.000 0.000
2 Th 0.173 0.327 0.000
3 Th 0.327 0.827 0.000
4 Th 0.500 0.500 0.000
5 Th 0.673 0.173 0.000
6 Th 0.827 0.673 0.000
7 Si 0.122 0.622 0.000
8 Si 0.378 0.122 0.000
9 Si 0.622 0.878 0.000
10 Si 0.878 0.378 0.000
11 Ru 0.000 0.500 0.500
12 Ru 0.072 0.779 0.500
13 Ru 0.221 0.072 0.500
14 Ru 0.279 0.572 0.500
15 Ru 0.428 0.279 0.500
16 Ru 0.500 0.000 0.500
17 Ru 0.572 0.721 0.500
18 Ru 0.721 0.428 0.500
19 Ru 0.779 0.928 0.500
20 Ru 0.928 0.221 0.500

Top 12 peaks for 2θ from 15° to 90°, sorted by position:
d [Å], Rel. int.
3.245, 19
2.810, 63
2.539, 36
2.489, 53
2.397, 100
2.294, 33
2.222, 17
1.778, 19
1.577, 16
1.541, 21
1.461, 17
1.446, 20

---

Starting from DFT lattice parameters and positions (PBE), the powder X-ray diffraction pattern of Th2Si3Ru was computed for Cu Kα, 1.54184 Å.

Unit cell a=8.258 b=8.252 c=5.889 alpha=69.16 beta=69.05 gamma=41.80
Positions (direct):
1 Th 0.245 0.755 0.245
2 Th 0.250 0.250 0.250
3 Th 0.750 0.750 0.750
4 Th 0.755 0.245 0.755
5 Si 0.169 0.664 0.831
6 Si 0.333 0.333 0.667
7 Si 0.336 0.831 0.664
8 Si 0.664 0.169 0.336
9 Si 0.667 0.667 0.333
10 Si 0.831 0.336 0.169
11 Ru 0.166 0.166 0.834
12 Ru 0.834 0.834 0.166

Top 12 peaks for 2θ from 15° to 90°, sorted by position:
d [Å], Rel. int.
4.169, 17
3.592, 43
3.564, 21
2.721, 100
2.709, 50
2.085, 16
2.079, 16
2.063, 32
1.803, 13
1.649, 23
1.466, 21
1.296, 15

---

Starting from DFT lattice parameters and positions (PBE), the powder X-ray diffraction pattern of ThSi4Ru4 was computed for Cu Kα, 1.54184 Å.

Unit cell a=7.978 b=7.978 c=4.708 alpha=90.00 beta=90.00 gamma=90.00
Positions (direct):
1 Th 0.250 0.250 0.250
2 Th 0.750 0.750 0.750
3 Si 0.056 0.898 0.167
4 Si 0.102 0.556 0.667
5 Si 0.398 0.944 0.667
6 Si 0.444 0.602 0.167
7 Si 0.556 0.398 0.833
8 Si 0.602 0.056 0.333
9 Si 0.898 0.444 0.333
10 Si 0.944 0.102 0.833
11 Ru 0.112 0.880 0.662
12 Ru 0.120 0.612 0.162
13 Ru 0.380 0.888 0.162
14 Ru 0.388 0.620 0.662
15 Ru 0.612 0.380 0.338
16 Ru 0.620 0.112 0.838
17 Ru 0.880 0.388 0.838
18 Ru 0.888 0.120 0.338

Top 12 peaks for 2θ from 15° to 90°, sorted by position:
d [Å], Rel. int.
4.055, 63
2.844, 98
2.821, 17
2.523, 100
2.354, 18
2.315, 18
2.258, 25
2.003, 37
1.763, 20
1.721, 31
1.511, 17
1.413, 15

---

Starting from DFT lattice parameters and positions (PBE), the powder X-ray diffraction pattern of ThSi3Ru5 was computed for Cu Kα, 1.54184 Å.

Unit cell a=6.641 b=6.641 c=11.611 alpha=90.00 beta=90.00 gamma=144.67
Positions (direct):
1 Th 0.183 0.817 0.750
2 Th 0.817 0.183 0.250
3 Si 0.113 0.887 0.250
4 Si 0.377 0.623 0.044
5 Si 0.377 0.623 0.456
6 Si 0.623 0.377 0.544
7 Si 0.623 0.377 0.956
8 Si 0.887 0.113 0.750
9 Ru 0.000 0.000 0.000
10 Ru 0.000 0.000 0.500
11 Ru 0.196 0.804 0.067
12 Ru 0.196 0.804 0.433
13 Ru 0.456 0.544 0.645
14 Ru 0.456 0.544 0.855
15 Ru 0.544 0.456 0.145
16 Ru 0.544 0.456 0.355
17 Ru 0.804 0.196 0.567
18 Ru 0.804 0.196 0.933

Top 12 peaks for 2θ from 15° to 90°, sorted by position:
d [Å], Rel. int.
3.646, 27
3.302, 40
3.053, 41
2.914, 67
2.726, 100
2.605, 49
2.450, 32
2.316, 58
2.144, 41
2.015, 49
1.851, 51
1.363, 37